1.
PrCd: calculated XRD peak list (Cu Ka), based on the GGA-PBE geometry in the Materials Project.

Structural model:
a = 3.8853 Å, b = 3.8853 Å, c = 3.8853 Å
α = 90.00°, β = 90.00°, γ = 90.00°
Sites, in units of the cell vectors:
Pr  0.0000  0.0000  0.0000
Cd  0.5000  0.5000  0.5000

The 6 most intense peaks (2θ = 10–90°), in order of rising 2θ:
d 2.747, I = 100.0
d 1.943, I = 18.0
d 1.586, I = 37.1
d 1.374, I = 11.3
d 1.229, I = 15.7
d 1.122, I = 4.0

---

2.
Pr4CdPt: calculated XRD peak list (Cu Ka), based on the GGA-PBE geometry in the Materials Project.

Structural model:
a = 10.1008 Å, b = 10.1008 Å, c = 10.1008 Å
α = 60.00°, β = 60.00°, γ = 60.00°
Sites, in units of the cell vectors:
Pr  0.1846  0.1846  0.8154
Pr  0.1846  0.8154  0.1846
Pr  0.1846  0.8154  0.8154
Pr  0.4013  0.4013  0.4013
Pr  0.4013  0.4013  0.7961
Pr  0.4013  0.7961  0.4013
Pr  0.5578  0.5578  0.9422
Pr  0.5578  0.9422  0.5578
Pr  0.5578  0.9422  0.9422
Pr  0.7961  0.4013  0.4013
Pr  0.8154  0.1846  0.1846
Pr  0.8154  0.1846  0.8154
Pr  0.8154  0.8154  0.1846
Pr  0.9422  0.5578  0.5578
Pr  0.9422  0.5578  0.9422
Pr  0.9422  0.9422  0.5578
Cd  0.1700  0.1700  0.1700
Cd  0.1700  0.1700  0.4899
Cd  0.1700  0.4899  0.1700
Cd  0.4899  0.1700  0.1700
Pt  0.1767  0.6078  0.6078
Pt  0.6078  0.1767  0.6078
Pt  0.6078  0.6078  0.1767
Pt  0.6078  0.6078  0.6078

The 6 most intense peaks (2θ = 10–90°), in order of rising 2θ:
d 2.916, I = 37.5
d 2.749, I = 100.0
d 2.525, I = 36.2
d 1.683, I = 38.7
d 1.649, I = 14.5
d 1.159, I = 13.3

---

3.
Pr2CdS4: calculated XRD peak list (Cu Ka), based on the GGA-PBE geometry in the Materials Project.

Structural model:
a = 7.4965 Å, b = 7.4965 Å, c = 7.4965 Å
α = 110.79°, β = 110.79°, γ = 106.86°
Sites, in units of the cell vectors:
Pr  0.0134  0.1250  0.3884
Pr  0.3750  0.9866  0.1116
Pr  0.7366  0.6250  0.6116
Pr  0.8750  0.2634  0.8884
Cd  0.2500  0.7500  0.5000
Cd  0.5000  0.5000  0.0000
S  0.0072  0.7420  0.1251
S  0.1178  0.9928  0.7347
S  0.1331  0.5080  0.7653
S  0.2580  0.3831  0.2653
S  0.4920  0.2572  0.6251
S  0.6169  0.8822  0.8749
S  0.6322  0.8669  0.3749
S  0.7428  0.3678  0.2347

The 6 most intense peaks (2θ = 10–90°), in order of rising 2θ:
d 3.587, I = 67.7
d 3.503, I = 100.0
d 2.811, I = 52.4
d 2.705, I = 57.6
d 2.693, I = 53.8
d 2.346, I = 37.4

---

4.
Pr2CdSb4: calculated XRD peak list (Cu Ka), based on the GGA-PBE geometry in the Materials Project.

Structural model:
a = 4.4047 Å, b = 4.4047 Å, c = 10.8625 Å
α = 90.00°, β = 90.00°, γ = 90.00°
Sites, in units of the cell vectors:
Pr  0.0000  0.5000  0.2356
Pr  0.5000  0.0000  0.7644
Cd  0.5000  0.5000  0.5000
Sb  0.0000  0.0000  0.0000
Sb  0.0000  0.5000  0.6718
Sb  0.5000  0.0000  0.3282
Sb  0.5000  0.5000  0.0000

The 6 most intense peaks (2θ = 10–90°), in order of rising 2θ:
d 3.421, I = 24.3
d 2.797, I = 14.0
d 2.702, I = 100.0
d 2.202, I = 36.5
d 1.948, I = 13.5
d 1.349, I = 22.5

---

5.
Pr2CdSn: calculated XRD peak list (Cu Ka), based on the GGA-PBE geometry in the Materials Project.

Structural model:
a = 7.7689 Å, b = 7.7689 Å, c = 7.7689 Å
α = 90.00°, β = 90.00°, γ = 90.00°
Sites, in units of the cell vectors:
Pr  0.2500  0.2500  0.2500
Pr  0.2500  0.2500  0.7500
Pr  0.2500  0.7500  0.2500
Pr  0.2500  0.7500  0.7500
Pr  0.7500  0.2500  0.2500
Pr  0.7500  0.2500  0.7500
Pr  0.7500  0.7500  0.2500
Pr  0.7500  0.7500  0.7500
Cd  0.0000  0.0000  0.0000
Cd  0.0000  0.5000  0.5000
Cd  0.5000  0.0000  0.5000
Cd  0.5000  0.5000  0.0000
Sn  0.0000  0.0000  0.5000
Sn  0.0000  0.5000  0.0000
Sn  0.5000  0.0000  0.0000
Sn  0.5000  0.5000  0.5000

The 6 most intense peaks (2θ = 10–90°), in order of rising 2θ:
d 2.747, I = 100.0
d 1.942, I = 18.3
d 1.586, I = 38.0
d 1.373, I = 11.7
d 1.228, I = 16.4
d 1.121, I = 4.2

---

6.
SrCdPt: calculated XRD peak list (Cu Ka), based on the GGA-PBE geometry in the Materials Project.

Structural model:
a = 7.5958 Å, b = 4.5613 Å, c = 8.7132 Å
α = 90.00°, β = 90.00°, γ = 90.00°
Sites, in units of the cell vectors:
Sr  0.0298  0.2500  0.1805
Sr  0.4702  0.7500  0.6805
Sr  0.5298  0.2500  0.3195
Sr  0.9702  0.7500  0.8195
Cd  0.1450  0.2500  0.5656
Cd  0.3550  0.7500  0.0656
Cd  0.6450  0.2500  0.9344
Cd  0.8550  0.7500  0.4344
Pt  0.2304  0.7500  0.3770
Pt  0.2696  0.2500  0.8770
Pt  0.7304  0.7500  0.1230
Pt  0.7696  0.2500  0.6230

The 6 most intense peaks (2θ = 10–90°), in order of rising 2θ:
d 2.912, I = 61.7
d 2.768, I = 100.0
d 2.450, I = 56.7
d 2.332, I = 40.8
d 2.281, I = 48.6
d 2.189, I = 34.2

---

7.
Tb4CdPt: calculated XRD peak list (Cu Ka), based on the GGA-PBE geometry in the Materials Project.

Structural model:
a = 9.7544 Å, b = 9.7544 Å, c = 9.7544 Å
α = 60.00°, β = 60.00°, γ = 60.00°
Sites, in units of the cell vectors:
Tb  0.1852  0.1852  0.8148
Tb  0.1852  0.8148  0.1852
Tb  0.1852  0.8148  0.8148
Tb  0.3988  0.3988  0.3988
Tb  0.3988  0.3988  0.8035
Tb  0.3988  0.8035  0.3988
Tb  0.5600  0.5600  0.9400
Tb  0.5600  0.9400  0.5600
Tb  0.5600  0.9400  0.9400
Tb  0.8035  0.3988  0.3988
Tb  0.8148  0.1852  0.1852
Tb  0.8148  0.1852  0.8148
Tb  0.8148  0.8148  0.1852
Tb  0.9400  0.5600  0.5600
Tb  0.9400  0.5600  0.9400
Tb  0.9400  0.9400  0.5600
Cd  0.1682  0.1682  0.1682
Cd  0.1682  0.1682  0.4954
Cd  0.1682  0.4954  0.1682
Cd  0.4954  0.1682  0.1682
Pt  0.1786  0.6071  0.6071
Pt  0.6071  0.1786  0.6071
Pt  0.6071  0.6071  0.1786
Pt  0.6071  0.6071  0.6071

The 6 most intense peaks (2θ = 10–90°), in order of rising 2θ:
d 3.165, I = 15.0
d 2.816, I = 38.6
d 2.655, I = 100.0
d 2.439, I = 35.9
d 1.626, I = 38.8
d 1.593, I = 14.0

---

- Number 6 is which compound?
  SrCdPt

---

Copy entry 5 word for word.
Pr2CdSn: calculated XRD peak list (Cu Ka), based on the GGA-PBE geometry in the Materials Project.

Structural model:
a = 7.7689 Å, b = 7.7689 Å, c = 7.7689 Å
α = 90.00°, β = 90.00°, γ = 90.00°
Sites, in units of the cell vectors:
Pr  0.2500  0.2500  0.2500
Pr  0.2500  0.2500  0.7500
Pr  0.2500  0.7500  0.2500
Pr  0.2500  0.7500  0.7500
Pr  0.7500  0.2500  0.2500
Pr  0.7500  0.2500  0.7500
Pr  0.7500  0.7500  0.2500
Pr  0.7500  0.7500  0.7500
Cd  0.0000  0.0000  0.0000
Cd  0.0000  0.5000  0.5000
Cd  0.5000  0.0000  0.5000
Cd  0.5000  0.5000  0.0000
Sn  0.0000  0.0000  0.5000
Sn  0.0000  0.5000  0.0000
Sn  0.5000  0.0000  0.0000
Sn  0.5000  0.5000  0.5000

The 6 most intense peaks (2θ = 10–90°), in order of rising 2θ:
d 2.747, I = 100.0
d 1.942, I = 18.3
d 1.586, I = 38.0
d 1.373, I = 11.7
d 1.228, I = 16.4
d 1.121, I = 4.2